This entry pairs a crystal structure of Ti4Pd7Rh with its simulated powder XRD pattern. Radiation: Cu Kα (weighted mean of Kα1 and Kα2). Structure: a crystal structure in Alexandria, relaxed with GGA-PBE.

Most intense lines, 5 to 70 degrees two-theta, low angle first:
index, Position (°2θ), d/Å, I (rel.)
1 1 -2, 26.8, 3.328, 61
4 0 -1, 35.3, 2.546, 51
4 0 -3, 37.0, 2.432, 59
0 2 0, 37.7, 2.383, 100
3 1 1, 41.2, 2.193, 91
1 1 -4, 45.0, 2.013, 46

```
data_Ti4Pd7Rh
_chemical_formula_sum 'Ti8 Pd14 Rh2'
_cell_length_a 10.4858
_cell_length_b 4.7668
_cell_length_c 9.3131
_cell_angle_alpha 90.00
_cell_angle_beta 119.66
_cell_angle_gamma 90.00
_space_group_name_H-M_alt 'C 1 2/m 1'
_space_group_IT_number 12
loop_
_space_group_symop_operation_xyz
'x,y,z'
'-x,-y,-z'
'-x,y,-z'
'x,-y,z'
'x+1/2,y+1/2,z'
'-x+1/2,-y+1/2,-z'
'-x+1/2,y+1/2,-z'
'x+1/2,-y+1/2,z'
loop_
_atom_site_label
_atom_site_fract_x
_atom_site_fract_y
_atom_site_fract_z
_atom_site_occupancy
Ti1 0.0884 0.0000 0.2761 1
Ti2 0.2445 0.0000 0.8300 1
Pd1 0.0000 0.0000 0.5000 1
Pd2 0.0684 0.5000 0.8414 1
Pd3 0.1400 0.0000 0.0391 1
Pd4 0.2116 0.5000 0.4098 1
Rh1 0.0000 0.5000 0.5000 1
```

This entry pairs a crystal structure of Er4UO10 with its simulated powder XRD pattern. Radiation: Cu Kα (weighted mean of Kα1 and Kα2). Structure: a crystal structure in Alexandria, relaxed with GGA-PBE.

Most intense lines, 5 to 70 degrees two-theta, low angle first:
index, Position (°2θ), d/Å, I (rel.)
1 2 1, 29.0, 3.080, 100
3 1 0, 33.2, 2.698, 23
2 4 0, 47.7, 1.907, 17
3 1 2, 48.5, 1.876, 33
5 0 1, 56.8, 1.622, 31
1 2 3, 58.3, 1.583, 14

```
data_Er4UO10
_chemical_formula_sum 'Er8 U2 O20'
_cell_length_a 8.5304
_cell_length_b 8.5304
_cell_length_c 5.2194
_cell_angle_alpha 90.00
_cell_angle_beta 90.00
_cell_angle_gamma 90.00
_space_group_name_H-M_alt 'I 4/m'
_space_group_IT_number 87
_space_group_name_Hall '-I 4'
loop_
_atom_site_label
_atom_site_fract_x
_atom_site_fract_y
_atom_site_fract_z
_atom_site_occupancy
Er1 0.0990 0.6999 0.0000 1
U1 0.0000 0.0000 0.5000 1
O1 0.0000 0.5000 0.2500 1
O2 0.0973 0.1906 0.2585 1
```

This entry pairs a crystal structure of BeTl3Ni with its simulated powder XRD pattern. Radiation: Cu Kα (weighted mean of Kα1 and Kα2). Structure: a crystal structure in Alexandria, relaxed with GGA-PBE.

Most intense lines, 5 to 70 degrees two-theta, low angle first:
index, Position (°2θ), d/Å, I (rel.)
1 0 0, 17.5, 5.081, 66
1 1 1, 30.5, 2.933, 100
2 0 0, 35.3, 2.540, 79
2 1 0, 39.7, 2.272, 34
2 2 0, 50.8, 1.796, 57
3 1 1, 60.4, 1.532, 45

```
data_BeTl3Ni
_chemical_formula_sum 'Be1 Tl3 Ni1'
_cell_length_a 5.0806
_cell_length_b 5.0806
_cell_length_c 5.0806
_cell_angle_alpha 90.00
_cell_angle_beta 90.00
_cell_angle_gamma 90.00
_space_group_name_H-M_alt 'P m -3 m'
_space_group_IT_number 221
_space_group_name_Hall '-P 4 2 3'
loop_
_atom_site_label
_atom_site_fract_x
_atom_site_fract_y
_atom_site_fract_z
_atom_site_occupancy
Be1 0.0000 0.0000 0.0000 1
Tl1 0.0000 0.5000 0.5000 1
Ni1 0.5000 0.5000 0.5000 1
```

This entry pairs a crystal structure of Ce2MnPdS5 with its simulated powder XRD pattern. Radiation: Cu Kα (weighted mean of Kα1 and Kα2). Structure: a crystal structure in Alexandria, relaxed with GGA-PBE.

Most intense lines, 5 to 70 degrees two-theta, low angle first:
index, Position (°2θ), d/Å, I (rel.)
0 4 0, 22.8, 3.909, 40
0 2 3, 25.3, 3.515, 57
1 3 1, 29.7, 3.004, 43
1 1 3, 33.0, 2.717, 100
1 3 3, 36.9, 2.437, 42
2 0 0, 47.0, 1.935, 44

```
data_Ce2MnPdS5
_chemical_formula_sum 'Ce8 Mn4 Pd4 S20'
_cell_length_a 3.8692
_cell_length_b 15.6345
_cell_length_c 11.8047
_cell_angle_alpha 90.00
_cell_angle_beta 90.00
_cell_angle_gamma 90.00
_space_group_name_H-M_alt 'C m c 21'
_space_group_IT_number 36
loop_
_space_group_symop_operation_xyz
'x,y,z'
'-x,-y,z+1/2'
'-x,y,z'
'x,-y,z+1/2'
'x+1/2,y+1/2,z'
'-x+1/2,-y+1/2,z+1/2'
'-x+1/2,y+1/2,z'
'x+1/2,-y+1/2,z+1/2'
loop_
_atom_site_label
_atom_site_fract_x
_atom_site_fract_y
_atom_site_fract_z
_atom_site_occupancy
Ce1 0.0000 0.1106 0.0000 1
Ce2 0.0000 0.1300 0.3466 1
Mn1 0.0000 0.1710 0.6992 1
Pd1 0.0000 0.4241 0.0878 1
S1 0.0000 0.0121 0.6804 1
S2 0.0000 0.2947 0.9857 1
S3 0.0000 0.3155 0.3276 1
S4 0.0000 0.3288 0.6677 1
S5 0.0000 0.4959 0.9081 1
```

- Which formula does entry 3 have?
  BeTl3Ni